Nd6CN3: simulated XRD peak list (Cu Kα), based on a cell relaxed with PBE.

Atomic structure:
a b c (Å): 6.2905 6.2905 18.2217
angles (deg): 90.00 90.00 120.00
Space group R3 (No. 146, hexagonal axes)
Inequivalent atoms, fractional coordinates:
Nd 0.0106 0.6682 0.0000 (multiplicity 9)
Nd 0.0196 0.3450 0.4998 (multiplicity 9)
C 0.0000 0.0000 0.2428 (multiplicity 3)
N 0.0000 0.0000 0.4216 (multiplicity 3)
N 0.0000 0.0000 0.7444 (multiplicity 3)
N 0.0000 0.0000 0.9226 (multiplicity 3)

Most intense lines, 15 to 90 degrees two-theta, by angle:
- 2θ = 28.38°, I = 174, (1 1 0)
- 2θ = 29.41°, I = 249, (0 0 6)
- 2θ = 32.05°, I = 1000, (2 -1 3)
- 2θ = 41.33°, I = 205, (2 -1 6)
- 2θ = 50.24°, I = 202, (3 0 0)
- 2θ = 53.85°, I = 230, (1 1 9)
- 2θ = 59.29°, I = 203, (3 0 6)
- 2θ = 60.85°, I = 152, (2 2 3)
- 2θ = 82.72°, I = 122, (5 -4 3)
- 2θ = 82.88°, I = 92, (3 0 12)